No. 1
Diffraction record for Pr3Sm5Cd. The PXRD pattern is theoretical, not measured: it uses the GGA-PBE geometry in Alexandria and Cu Kα (λ = 1.5418 Å).

Principal peaks in the range 5 to 70 degrees two-theta, by angle:
| d_spacing | I_rel |
| --- | --- |
| 5.843 | 51 |
| 2.922 | 100 |
| 2.871 | 57 |
| 2.808 | 76 |
| 2.787 | 72 |
| 2.323 | 50 |
| 2.311 | 49 |
| 2.048 | 44 |

Cell and atoms:
Unit cell a=7.6884 b=7.6884 c=11.4843 alpha=90.35 beta=90.35 gamma=98.93
Fractional positions:
Pr1 0.0000 0.0000 0.0000
Pr2 0.0000 0.0000 0.5000
Pr3 0.1515 0.1515 0.2585
Pr4 0.3347 0.3347 0.0074
Pr5 0.6653 0.6653 0.9926
Pr6 0.8485 0.8485 0.7415
Sm1 0.0134 0.5254 0.1899
Sm2 0.2536 0.7464 0.5000
Sm3 0.3230 0.3230 0.4978
Sm4 0.4746 0.9866 0.8101
Sm5 0.4969 0.4969 0.7407
Sm6 0.5031 0.5031 0.2593
Sm7 0.5254 0.0134 0.1899
Sm8 0.6770 0.6770 0.5022
Sm9 0.7464 0.2536 0.5000
Sm10 0.9866 0.4746 0.8101
Cd1 0.1653 0.1653 0.7418
Cd2 0.8347 0.8347 0.2582

=====

No. 2
Diffraction record for SmDyTmCu. The PXRD pattern is theoretical, not measured: it uses the GGA-PBE geometry in Alexandria and Cu Kα (λ = 1.5418 Å).

Principal peaks in the range 5 to 70 degrees two-theta, by angle:
| d_spacing | I_rel |
| --- | --- |
| 3.236 | 27 |
| 2.892 | 18 |
| 2.718 | 100 |
| 2.466 | 52 |
| 1.876 | 21 |
| 1.744 | 18 |
| 1.553 | 14 |
| 1.468 | 30 |

Cell and atoms:
Unit cell a=3.4873 b=3.4873 c=8.6750 alpha=90.00 beta=90.00 gamma=90.00
Fractional positions:
Sm1 0.0000 0.0000 0.0000
Dy1 0.5000 0.5000 0.6916
Tm1 0.5000 0.5000 0.3042
Cu1 0.0000 0.0000 0.4908

=====

No. 3
Diffraction record for ReC5IO5. The PXRD pattern is theoretical, not measured: it uses the GGA-PBE geometry in Alexandria and Cu Kα (λ = 1.5418 Å).

Principal peaks in the range 5 to 70 degrees two-theta, by angle:
| d_spacing | I_rel |
| --- | --- |
| 6.580 | 100 |
| 5.990 | 91 |
| 5.767 | 34 |
| 4.430 | 82 |
| 3.419 | 34 |
| 3.351 | 77 |
| 2.970 | 37 |
| 2.405 | 42 |

Cell and atoms:
Unit cell a=6.9566 b=6.9566 c=11.9806 alpha=90.00 beta=90.00 gamma=108.94
Fractional positions:
Re1 0.1438 0.8562 0.7500
Re2 0.8562 0.1438 0.2500
C1 0.0419 0.3111 0.1321
C2 0.0419 0.3111 0.3679
C3 0.3111 0.0419 0.6321
C4 0.3111 0.0419 0.8679
C5 0.3152 0.6848 0.7500
C6 0.6848 0.3152 0.2500
C7 0.6889 0.9581 0.1321
C8 0.6889 0.9581 0.3679
C9 0.9581 0.6889 0.6321
C10 0.9581 0.6889 0.8679
I1 0.1078 0.8922 0.2500
I2 0.8922 0.1078 0.7500
O1 0.1513 0.4047 0.0648
O2 0.1513 0.4047 0.4352
O3 0.4047 0.1513 0.5648
O4 0.4047 0.1513 0.9352
O5 0.4179 0.5821 0.7500
O6 0.5821 0.4179 0.2500
O7 0.5953 0.8487 0.0648
O8 0.5953 0.8487 0.4352
O9 0.8487 0.5953 0.5648
O10 0.8487 0.5953 0.9352

=====

No. 4
Diffraction record for LaAl2Ag2Au. The PXRD pattern is theoretical, not measured: it uses the GGA-PBE geometry in Alexandria and Cu Kα (λ = 1.5418 Å).

Principal peaks in the range 5 to 70 degrees two-theta, by angle:
| d_spacing | I_rel |
| --- | --- |
| 3.429 | 91 |
| 2.548 | 100 |
| 2.425 | 53 |
| 1.756 | 65 |
| 1.715 | 18 |
| 1.534 | 17 |
| 1.422 | 16 |
| 1.372 | 11 |

Cell and atoms:
Unit cell a=4.8497 b=4.8497 c=5.9880 alpha=90.00 beta=90.00 gamma=90.00
Fractional positions:
La1 0.0000 0.0000 0.0000
Al1 0.0000 0.5000 0.5000
Al2 0.5000 0.0000 0.5000
Ag1 0.5000 0.5000 0.2351
Ag2 0.5000 0.5000 0.7649
Au1 0.0000 0.0000 0.5000

=====

No. 5
Diffraction record for YPa2Se4. The PXRD pattern is theoretical, not measured: it uses the GGA-PBE geometry in Alexandria and Cu Kα (λ = 1.5418 Å).

Principal peaks in the range 5 to 70 degrees two-theta, by angle:
| d_spacing | I_rel |
| --- | --- |
| 7.165 | 55 |
| 3.865 | 97 |
| 2.901 | 84 |
| 2.843 | 52 |
| 2.689 | 100 |
| 2.268 | 91 |
| 1.980 | 51 |
| 1.934 | 55 |

Cell and atoms:
Unit cell a=6.8547 b=6.8547 c=14.3295 alpha=90.00 beta=90.00 gamma=147.22
Fractional positions:
Y1 0.1090 0.8910 0.7500
Y2 0.8910 0.1090 0.2500
Pa1 0.3543 0.6457 0.5627
Pa2 0.3543 0.6457 0.9373
Pa3 0.6457 0.3543 0.0627
Pa4 0.6457 0.3543 0.4373
Se1 0.0000 0.0000 0.0000
Se2 0.0000 0.0000 0.5000
Se3 0.2905 0.7095 0.1314
Se4 0.2905 0.7095 0.3686
Se5 0.4453 0.5547 0.7500
Se6 0.5547 0.4453 0.2500
Se7 0.7095 0.2905 0.6314
Se8 0.7095 0.2905 0.8686

=====

No. 6
Diffraction record for AgAuSe. The PXRD pattern is theoretical, not measured: it uses the GGA-PBE geometry in Alexandria and Cu Kα (λ = 1.5418 Å).

Principal peaks in the range 5 to 70 degrees two-theta, by angle:
| d_spacing | I_rel |
| --- | --- |
| 5.396 | 82 |
| 5.080 | 44 |
| 3.848 | 48 |
| 2.878 | 66 |
| 2.866 | 87 |
| 2.540 | 53 |
| 2.422 | 100 |
| 2.109 | 85 |

Cell and atoms:
Unit cell a=5.1797 b=5.1797 c=5.5026 alpha=98.51 beta=98.51 gamma=81.52
Fractional positions:
Ag1 0.0531 0.0531 0.2671
Ag2 0.9469 0.9469 0.7329
Au1 0.0000 0.5000 0.0000
Au2 0.5000 0.0000 0.0000
Se1 0.2972 0.2972 0.6891
Se2 0.7028 0.7028 0.3109